Structure and calculated PXRD pattern of Pd9Pt2Au4 (a PBE-relaxed structure; Cu Ka).
Neutral-atom scattering factors, no anomalous dispersion.

Structure:
Cell: 6.9628 7.4864 9.7882 Å, 70.98 89.79 89.53°
Space group P-1 (No. 2)
Inequivalent atoms, fractional coordinates:
Pd 0.0005 0.0981 0.3506 [2 per cell]
Pd 0.0006 0.3009 0.0486 [2 per cell]
Pd 0.0006 0.4994 0.2518 [2 per cell]
Pd 0.3264 0.8994 0.9844 [2 per cell]
Pd 0.3267 0.1033 0.6832 [2 per cell]
Pd 0.3281 0.3026 0.3846 [2 per cell]
Pd 0.3294 0.6977 0.2841 [2 per cell]
Pd 0.3296 0.5004 0.0852 [2 per cell]
Pd 0.3347 0.4994 0.5814 [2 per cell]
Pt 0.9997 0.0999 0.8503 [2 per cell]
Pt 0.0015 0.3030 0.5511 [2 per cell]
Au 0.3325 0.6994 0.7847 [2 per cell]
Au 0.3353 0.0992 0.1834 [2 per cell]
Au 0.3345 0.8976 0.4835 [2 per cell]
Au 0.3379 0.2997 0.8821 [2 per cell]

The 10 most intense peaks (10° ≤ 2θ ≤ 90°), sorted by position:
- 2θ = 38.84°, d = 2.319 Å, I = 100, hkl 1 3 2
- 2θ = 39.01°, d = 2.309 Å, I = 49, hkl 1 -2 2
- 2θ = 39.06°, d = 2.306 Å, I = 49, hkl -1 1 4
- 2θ = 45.18°, d = 2.007 Å, I = 65, hkl 2 1 4
- 2θ = 45.45°, d = 1.996 Å, I = 32, hkl -2 3 2
- 2θ = 65.97°, d = 1.416 Å, I = 21, hkl 4 -2 2
- 2θ = 66.04°, d = 1.415 Å, I = 21, hkl 0 5 0
- 2θ = 78.95°, d = 1.213 Å, I = 19, hkl 3 5 0
- 2θ = 79.33°, d = 1.208 Å, I = 19, hkl 3 -1 6
- 2θ = 79.47°, d = 1.206 Å, I = 12, hkl 1 2 8